Calculated powder diffraction line list of Tb3Pm4Dy4 for CuKα, from DFT lattice parameters and positions (PBE).

Crystal structure
a = 3.526 Å, b = 5.671 Å, c = 18.215 Å
α = 98.93°, β = 95.55°, γ = 90.01°
Space group P-1 (No. 2)
Symmetry-distinct sites (fractional):
1 Tb 0.000 0.000 0.000 [1 per cell]
2 Tb 0.135 0.636 0.272 [2 per cell]
3 Pm 0.267 0.267 0.535 [2 per cell]
4 Pm 0.410 0.909 0.819 [2 per cell]
5 Dy 0.320 0.819 0.639 [2 per cell]
6 Dy 0.455 0.454 0.909 [2 per cell]

Peak list (8 most intense, 15° ≤ 2θ ≤ 90°, sorted by position)
2theta  intensity
30.79  28.3
31.52  100.0
31.69  71.4
44.67  20.5
45.90  12.2
56.28  14.4
56.77  13.0
62.03  31.7